Record 1
Th8In2Tc: computed PXRD pattern (λ = 1.5418 Å (Cu Kα)), based on a DFT-relaxed cell (PBE, Alexandria).

Structural model:
abc: 4.9254 4.9254 13.5929
angles: 90.00 90.00 90.00
Atoms (fractional coordinates):
Th: 0.0000 0.0000 0.1849
Th: 0.0000 0.0000 0.8151
Th: 0.0000 0.5000 0.0000
Th: 0.0000 0.5000 0.3698
Th: 0.0000 0.5000 0.6302
Th: 0.5000 0.0000 0.0000
Th: 0.5000 0.0000 0.3698
Th: 0.5000 0.0000 0.6302
In: 0.5000 0.5000 0.1832
In: 0.5000 0.5000 0.8168
Tc: 0.5000 0.5000 0.5000

The 10 most intense peaks (2θ from 10° to 90°), sorted by position:
2θ 28.80, intensity 21
2θ 32.42, intensity 100
2θ 32.95, intensity 15
2θ 36.48, intensity 47
2θ 49.97, intensity 19
2θ 52.55, intensity 17
2θ 55.08, intensity 10
2θ 60.65, intensity 19
2θ 63.12, intensity 30
2θ 84.36, intensity 14


Record 2
Th3InTc: computed PXRD pattern (λ = 1.5418 Å (Cu Kα)), based on a DFT-relaxed cell (PBE, Alexandria).

Structural model:
abc: 9.8197 8.9951 6.1172
angles: 78.52 63.86 37.62
Atoms (fractional coordinates):
Th: 0.1927 0.1927 0.8073
Th: 0.2031 0.5633 0.4367
Th: 0.4367 0.7969 0.2031
Th: 0.5633 0.2031 0.7969
Th: 0.7969 0.4367 0.5633
Th: 0.8073 0.8073 0.1927
In: 0.2099 0.7901 0.7901
In: 0.7901 0.2099 0.2099
Tc: 0.2500 0.2500 0.2500
Tc: 0.7500 0.7500 0.7500

The 10 most intense peaks (2θ from 10° to 90°), sorted by position:
2θ 26.94, intensity 38
2θ 27.49, intensity 35
2θ 29.82, intensity 100
2θ 31.19, intensity 82
2θ 33.53, intensity 72
2θ 33.94, intensity 63
2θ 34.56, intensity 69
2θ 36.66, intensity 29
2θ 51.93, intensity 37
2θ 54.13, intensity 33


Record 3
Tl2InTc: computed PXRD pattern (λ = 1.5418 Å (Cu Kα)), based on a DFT-relaxed cell (PBE, Alexandria).

Structural model:
abc: 3.0660 4.5824 14.7398
angles: 90.00 90.00 90.00
Atoms (fractional coordinates):
Tl: 0.0000 0.0000 0.0000
Tl: 0.0000 0.5000 0.5000
Tl: 0.5000 0.0000 0.3563
Tl: 0.5000 0.5000 0.8563
In: 0.0000 0.0000 0.6807
In: 0.0000 0.5000 0.1807
Tc: 0.5000 0.0000 0.1662
Tc: 0.5000 0.5000 0.6662

The 10 most intense peaks (2θ from 10° to 90°), sorted by position:
2θ 20.29, intensity 29
2θ 26.60, intensity 100
2θ 31.61, intensity 34
2θ 35.76, intensity 96
2θ 36.58, intensity 43
2θ 38.19, intensity 42
2θ 39.32, intensity 41
2θ 47.14, intensity 32
2θ 54.79, intensity 27
2θ 55.97, intensity 28


Record 4
ZnIn2Tc: computed PXRD pattern (λ = 1.5418 Å (Cu Kα)), based on a DFT-relaxed cell (PBE, Alexandria).

Structural model:
abc: 10.8904 2.9256 4.9163
angles: 90.00 105.26 90.00
Atoms (fractional coordinates):
Zn: 0.0000 0.0000 0.0000
Zn: 0.5000 0.5000 0.0000
In: 0.0657 0.5000 0.5450
In: 0.2734 0.5000 0.1797
In: 0.5657 0.0000 0.5450
In: 0.7734 0.0000 0.1797
Tc: 0.3092 0.0000 0.6947
Tc: 0.8092 0.5000 0.6947

The 10 most intense peaks (2θ from 10° to 90°), sorted by position:
2θ 28.48, intensity 14
2θ 34.14, intensity 52
2θ 34.40, intensity 20
2θ 37.27, intensity 44
2θ 37.94, intensity 17
2θ 38.28, intensity 100
2θ 41.49, intensity 74
2θ 45.95, intensity 18
2θ 53.71, intensity 15
2θ 61.54, intensity 13